(1)
The following is a simulated PXRD pattern of Mg13Ir3. It was derived from DFT lattice parameters and positions (PBE), using Cu Kα X-rays.

Most intense lines, 15° ≤ 2θ ≤ 90°, sorted by position:
Position (°2θ)	intensity	(hkl)
19.82	100	2 1 1
21.88	44	0 1 2
22.08	28	2 2 0
25.30	37	1 3 1
38.74	55	6 0 0
38.89	74	2 2 3

a b c (Å): 16.1022 16.1022 8.4942
angles (deg): 90.00 90.00 120.00
Space group R-3c (No. 167, hexagonal axes)
One atom of each set of equivalent atoms:
Mg (0.0000, 0.0000, 0.2500) (multiplicity 6)
Mg (0.0000, 0.3688, 0.2500) (multiplicity 18)
Mg (0.0000, 0.5000, 0.0000) (multiplicity 18)
Mg (0.0317, 0.1754, 0.0784) (multiplicity 36)
Ir (0.0000, 0.1723, 0.7500) (multiplicity 18)

---

(2)
The following is a simulated PXRD pattern of Mg7Ir3. It was derived from DFT lattice parameters and positions (PBE), using Cu Kα X-rays.

Most intense lines, 15° ≤ 2θ ≤ 90°, sorted by position:
Position (°2θ)	intensity	(hkl)
19.15	45	2 0 0
23.51	81	2 1 1
41.32	100	3 3 0
59.87	21	6 0 0
75.35	28	6 3 3
85.01	20	7 4 1

a b c (Å): 9.269 9.269 9.269
angles (deg): 90.00 90.00 90.00
Space group Im-3m (No. 229)
One atom of each set of equivalent atoms:
Mg (0.000, 0.250, 0.500) (multiplicity 12)
Mg (0.155, 0.155, 0.155) (multiplicity 16)
Ir (0.000, 0.000, 0.352) (multiplicity 12)

---

(3)
The following is a simulated PXRD pattern of Mg2Ir3. It was derived from DFT lattice parameters and positions (PBE), using Cu Kα X-rays.

Most intense lines, 15° ≤ 2θ ≤ 90°, sorted by position:
Position (°2θ)	intensity	(hkl)
17.55	47	1 1 0
19.12	53	4 0 0
20.63	37	4 0 -1
40.40	63	0 2 2
41.57	100	8 0 1
43.82	30	4 2 -2

a b c (Å): 18.711 5.251 8.558
angles (deg): 90.00 97.16 90.00
Space group C2/m (No. 12)
One atom of each set of equivalent atoms:
Mg (0.021, 0.000, 0.181) (multiplicity 4)
Mg (0.054, 0.500, 0.383) (multiplicity 4)
Mg (0.077, 0.500, 0.992) (multiplicity 4)
Mg (0.209, 0.500, 0.553) (multiplicity 4)
Mg (0.220, 0.500, 0.914) (multiplicity 4)
Ir (0.000, 0.000, 0.500) (multiplicity 2)
Ir (0.091, 0.266, 0.702) (multiplicity 8)
Ir (0.130, 0.000, 0.970) (multiplicity 4)
Ir (0.136, 0.000, 0.465) (multiplicity 4)
Ir (0.168, 0.251, 0.227) (multiplicity 8)
Ir (0.216, 0.000, 0.742) (multiplicity 4)

---

(4)
The following is a simulated PXRD pattern of Mg4IrN4. It was derived from DFT lattice parameters and positions (PBE), using Cu Kα X-rays.

Most intense lines, 15° ≤ 2θ ≤ 90°, sorted by position:
Position (°2θ)	intensity	(hkl)
18.13	44	0 1 0
20.45	97	1 0 -1
21.31	100	1 0 1
24.84	46	0 1 2
29.50	43	-1 1 1
40.67	82	-1 1 3

a b c (Å): 5.373 5.400 8.279
angles (deg): 74.84 87.16 69.86
Space group P-1 (No. 2)
One atom of each set of equivalent atoms:
Mg (0.233, 0.265, 0.499) (multiplicity 2)
Mg (0.236, 0.841, 0.280) (multiplicity 2)
Mg (0.238, 0.051, 0.915) (multiplicity 2)
Mg (0.248, 0.472, 0.085) (multiplicity 2)
Ir (0.247, 0.636, 0.707) (multiplicity 2)
N (0.003, 0.208, 0.117) (multiplicity 2)
N (0.007, 0.402, 0.706) (multiplicity 2)
N (0.346, 0.837, 0.517) (multiplicity 2)
N (0.480, 0.297, 0.892) (multiplicity 2)

---

(5)
The following is a simulated PXRD pattern of Nd4MgIr. It was derived from DFT lattice parameters and positions (PBE), using Cu Kα X-rays.

Most intense lines, 15° ≤ 2θ ≤ 90°, sorted by position:
Position (°2θ)	intensity	(hkl)
27.39	27	3 3 1
30.86	41	4 2 2
32.79	100	5 1 1
35.79	41	4 4 0
54.89	41	6 6 0
68.37	18	9 5 1

a b c (Å): 14.193 14.193 14.193
angles (deg): 90.00 90.00 90.00
Space group F-43m (No. 216)
One atom of each set of equivalent atoms:
Nd (0.000, 0.000, 0.188) (multiplicity 24)
Nd (0.062, 0.250, 0.250) (multiplicity 24)
Nd (0.096, 0.096, 0.596) (multiplicity 16)
Mg (0.171, 0.171, 0.829) (multiplicity 16)
Ir (0.109, 0.109, 0.391) (multiplicity 16)